Entry 1:
Structure and computed X-ray powder pattern of Rb2SbI4 (DFT lattice parameters and positions (PBE); λ = 1.5418 Å (Cu Kα)).

Most intense lines, 2θ = 15–90°, by angle:
22.29 deg, I 43.6, (1 1 2)
28.05 deg, I 58.2, (1 1 4)
28.28 deg, I 38.4, (1 0 5)
28.46 deg, I 100.0, (2 0 0)
40.69 deg, I 37.6, (2 2 0)
41.35 deg, I 50.5, (2 0 6)

Atomic structure:
a b c (Å): 6.271 6.271 18.258
angles (deg): 90.00 90.00 90.00
Space group I4/mmm (No. 139)
One atom of each set of equivalent atoms:
Rb: 0.000 0.000 0.132 [4 per cell]
Sb: 0.000 0.000 0.500 [2 per cell]
I: 0.000 0.000 0.332 [4 per cell]
I: 0.000 0.500 0.000 [4 per cell]

=====

Entry 2:
Structure and computed X-ray powder pattern of Pa2AsO6 (DFT lattice parameters and positions (PBE); λ = 1.5418 Å (Cu Kα)).

Most intense lines, 2θ = 15–90°, by angle:
16.92 deg, I 16.3, (0 0 2)
23.07 deg, I 100.0, (1 1 0)
29.21 deg, I 25.2, (1 0 -3)
30.24 deg, I 42.6, (0 1 3)
31.82 deg, I 19.2, (1 0 3)
33.42 deg, I 21.8, (2 0 0)

Atomic structure:
a b c (Å): 5.388 5.543 10.523
angles (deg): 90.00 95.23 90.00
Space group P2_1 (No. 4)
One atom of each set of equivalent atoms:
Pa: 0.238 0.000 0.430 [2 per cell]
Pa: 0.248 0.075 0.080 [2 per cell]
As: 0.210 0.950 0.769 [2 per cell]
O: 0.016 0.223 0.556 [2 per cell]
O: 0.030 0.218 0.246 [2 per cell]
O: 0.075 0.341 0.970 [2 per cell]
O: 0.377 0.889 0.239 [2 per cell]
O: 0.409 0.840 0.912 [2 per cell]
O: 0.499 0.270 0.452 [2 per cell]

=====

Entry 3:
Structure and computed X-ray powder pattern of Pr7Sm4Dy (DFT lattice parameters and positions (PBE); λ = 1.5418 Å (Cu Kα)).

Most intense lines, 2θ = 15–90°, by angle:
28.06 deg, I 36.1, (1 2 0)
30.15 deg, I 49.8, (0 0 3)
30.97 deg, I 100.0, (2 0 2)
32.61 deg, I 85.7, (2 0 -1)
49.28 deg, I 38.2, (3 2 1)
58.86 deg, I 44.8, (3 2 4)

Atomic structure:
a b c (Å): 6.405 7.396 9.146
angles (deg): 90.00 76.50 89.99
Space group P-1 (No. 2)
One atom of each set of equivalent atoms:
Pr: 0.000 0.000 0.000 [1 per cell]
Pr: 0.222 0.500 0.333 [2 per cell]
Pr: 0.278 0.249 0.668 [2 per cell]
Pr: 0.500 0.250 0.001 [2 per cell]
Sm: 0.223 0.000 0.334 [2 per cell]
Sm: 0.277 0.751 0.669 [2 per cell]
Dy: 0.000 0.500 0.000 [1 per cell]